Starting from DFT lattice parameters and positions (PBE), the PXRD pattern of MnV4Tc3 was simulated for Cu Kα (weighted mean of Kα1 and Kα2).

Peak list (12 most intense, 15° ≤ 2θ ≤ 90°, low angle first)
22.3°, rel. 1
29.9°, rel. 11
30.8°, rel. 1
33.5°, rel. 1
37.6°, rel. 2
42.7°, rel. 100
53.0°, rel. 3
62.0°, rel. 15
70.3°, rel. 4
70.9°, rel. 1
74.8°, rel. 1
78.2°, rel. 30

a b c (Å): 2.9944 2.9944 11.9613
angles (deg): 90.00 90.00 90.00
Fractional coordinates of all 8 atoms:
1 Mn 0.0000 0.0000 0.0000
2 V 0.5000 0.5000 0.1186
3 V 0.5000 0.5000 0.3725
4 V 0.5000 0.5000 0.6275
5 V 0.5000 0.5000 0.8814
6 Tc 0.0000 0.0000 0.2454
7 Tc 0.0000 0.0000 0.5000
8 Tc 0.0000 0.0000 0.7546

Starting from DFT lattice parameters and positions (PBE), the PXRD pattern of Mn2TcW was simulated for Cu Kα (weighted mean of Kα1 and Kα2).

Peak list (12 most intense, 15° ≤ 2θ ≤ 90°, low angle first)
23.6°, rel. 25
31.0°, rel. 13
38.5°, rel. 8
42.3°, rel. 100
42.8°, rel. 24
43.0°, rel. 24
60.3°, rel. 8
62.3°, rel. 15
76.8°, rel. 8
76.9°, rel. 8
78.1°, rel. 16
78.3°, rel. 16

a b c (Å): 3.0676 4.2063 8.4421
angles (deg): 90.00 90.00 90.00
Fractional coordinates of all 8 atoms:
1 Mn 0.0000 0.0000 0.0000
2 Mn 0.0000 0.5000 0.2534
3 Mn 0.5000 0.0000 0.7534
4 Mn 0.5000 0.5000 0.5000
5 Tc 0.0000 0.5000 0.7498
6 Tc 0.5000 0.0000 0.2498
7 W 0.0000 0.0000 0.5018
8 W 0.5000 0.5000 0.0018

Starting from DFT lattice parameters and positions (PBE), the PXRD pattern of MnTcW2 was simulated for Cu Kα (weighted mean of Kα1 and Kα2).

Peak list (12 most intense, 15° ≤ 2θ ≤ 90°, low angle first)
28.8°, rel. 21
29.4°, rel. 9
32.4°, rel. 4
41.2°, rel. 53
41.6°, rel. 100
51.4°, rel. 9
59.7°, rel. 18
61.1°, rel. 8
67.6°, rel. 4
75.4°, rel. 34
76.3°, rel. 16
89.4°, rel. 6

a b c (Å): 3.0992 3.0992 6.0704
angles (deg): 90.00 90.00 90.00
Fractional coordinates of all 4 atoms:
1 Mn 0.0000 0.0000 0.0000
2 Tc 0.0000 0.0000 0.5000
3 W 0.5000 0.5000 0.2364
4 W 0.5000 0.5000 0.7636

Starting from DFT lattice parameters and positions (PBE), the PXRD pattern of YMn2Tc was simulated for Cu Kα (weighted mean of Kα1 and Kα2).

Peak list (12 most intense, 15° ≤ 2θ ≤ 90°, low angle first)
15.6°, rel. 15
21.3°, rel. 18
31.5°, rel. 14
38.3°, rel. 100
38.5°, rel. 100
38.8°, rel. 57
43.4°, rel. 41
51.0°, rel. 13
59.6°, rel. 31
69.8°, rel. 16
70.1°, rel. 16
76.4°, rel. 24

a b c (Å): 2.9249 4.1658 5.8621
angles (deg): 90.00 104.06 90.00
Fractional coordinates of all 4 atoms:
1 Y 0.0000 0.0000 0.0000
2 Mn 0.3005 0.5000 0.6949
3 Mn 0.6995 0.5000 0.3051
4 Tc 0.5000 0.0000 0.5000

Starting from DFT lattice parameters and positions (PBE), the PXRD pattern of Zr3Mn8Tc was simulated for Cu Kα (weighted mean of Kα1 and Kα2).

Peak list (12 most intense, 15° ≤ 2θ ≤ 90°, low angle first)
36.2°, rel. 49
36.9°, rel. 46
42.8°, rel. 51
43.1°, rel. 100
43.7°, rel. 47
44.9°, rel. 35
46.0°, rel. 11
65.6°, rel. 16
69.9°, rel. 22
70.3°, rel. 21
76.9°, rel. 23
78.5°, rel. 21

a b c (Å): 8.3915 8.3915 8.3915
angles (deg): 34.36 34.36 34.36
Fractional coordinates of all 12 atoms:
1 Zr 0.0000 0.0000 0.0000
2 Zr 0.1282 0.1282 0.1282
3 Zr 0.5054 0.5054 0.5054
4 Mn 0.0615 0.5646 0.5646
5 Mn 0.0652 0.0652 0.5698
6 Mn 0.0652 0.5698 0.0652
7 Mn 0.3157 0.3157 0.3157
8 Mn 0.5646 0.0615 0.5646
9 Mn 0.5646 0.5646 0.0615
10 Mn 0.5698 0.0652 0.0652
11 Mn 0.8146 0.8146 0.8146
12 Tc 0.6280 0.6280 0.6280

Starting from DFT lattice parameters and positions (PBE), the PXRD pattern of MnTe was simulated for Cu Kα (weighted mean of Kα1 and Kα2).

Peak list (12 most intense, 15° ≤ 2θ ≤ 90°, low angle first)
16.3°, rel. 100
21.5°, rel. 67
25.0°, rel. 54
25.4°, rel. 34
27.1°, rel. 51
28.4°, rel. 27
31.8°, rel. 39
38.2°, rel. 21
39.2°, rel. 29
39.7°, rel. 47
43.2°, rel. 86
46.4°, rel. 34

a b c (Å): 10.8728 10.8728 4.5970
angles (deg): 90.00 90.00 120.00
Fractional coordinates of all 12 atoms:
1 Mn 0.0705 0.4213 0.2500
2 Mn 0.3508 0.9295 0.2500
3 Mn 0.4213 0.3508 0.7500
4 Mn 0.5787 0.6492 0.2500
5 Mn 0.6492 0.0705 0.7500
6 Mn 0.9295 0.5787 0.7500
7 Te 0.0896 0.6875 0.2500
8 Te 0.3125 0.4021 0.2500
9 Te 0.4021 0.0896 0.7500
10 Te 0.5979 0.9104 0.2500
11 Te 0.6875 0.5979 0.7500
12 Te 0.9104 0.3125 0.7500

Starting from DFT lattice parameters and positions (PBE), the PXRD pattern of Mn5Te was simulated for Cu Kα (weighted mean of Kα1 and Kα2).

Peak list (12 most intense, 15° ≤ 2θ ≤ 90°, low angle first)
33.9°, rel. 7
34.3°, rel. 9
42.2°, rel. 100
47.4°, rel. 19
48.1°, rel. 18
51.8°, rel. 11
69.8°, rel. 11
71.6°, rel. 6
72.8°, rel. 7
73.4°, rel. 7
84.5°, rel. 12
85.6°, rel. 11

a b c (Å): 3.8392 10.5807 3.7851
angles (deg): 90.00 90.00 90.00
Fractional coordinates of all 12 atoms:
1 Mn 0.0000 0.0000 0.0000
2 Mn 0.0000 0.1794 0.5000
3 Mn 0.0000 0.3129 0.0000
4 Mn 0.0000 0.6871 0.0000
5 Mn 0.0000 0.8206 0.5000
6 Mn 0.5000 0.1871 0.0000
7 Mn 0.5000 0.3206 0.5000
8 Mn 0.5000 0.5000 0.0000
9 Mn 0.5000 0.6794 0.5000
10 Mn 0.5000 0.8129 0.0000
11 Te 0.0000 0.5000 0.5000
12 Te 0.5000 0.0000 0.5000

Starting from DFT lattice parameters and positions (PBE), the PXRD pattern of MnTe8 was simulated for Cu Kα (weighted mean of Kα1 and Kα2).

Peak list (12 most intense, 15° ≤ 2θ ≤ 90°, low angle first)
21.9°, rel. 21
29.3°, rel. 54
32.5°, rel. 100
35.5°, rel. 12
35.7°, rel. 27
41.5°, rel. 16
42.2°, rel. 16
43.3°, rel. 14
50.1°, rel. 14
50.3°, rel. 14
55.9°, rel. 15
65.8°, rel. 17

a b c (Å): 9.3329 9.3329 9.3329
angles (deg): 93.11 93.11 153.06
Fractional coordinates of all 9 atoms:
1 Mn 0.0000 0.0000 0.0000
2 Te 0.0000 0.2039 0.2039
3 Te 0.0000 0.7961 0.7961
4 Te 0.2039 0.0000 0.2039
5 Te 0.3181 0.3181 0.6361
6 Te 0.3181 0.6819 0.0000
7 Te 0.6819 0.3181 0.0000
8 Te 0.6819 0.6819 0.3639
9 Te 0.7961 0.0000 0.7961

Starting from DFT lattice parameters and positions (PBE), the PXRD pattern of Mn3Te was simulated for Cu Kα (weighted mean of Kα1 and Kα2).

Peak list (12 most intense, 15° ≤ 2θ ≤ 90°, low angle first)
22.8°, rel. 6
24.1°, rel. 9
29.1°, rel. 11
40.8°, rel. 100
46.5°, rel. 16
47.3°, rel. 5
48.0°, rel. 31
69.1°, rel. 19
70.2°, rel. 9
82.4°, rel. 10
84.5°, rel. 22
88.4°, rel. 9

a b c (Å): 3.7939 3.7939 15.6114
angles (deg): 90.00 90.00 90.00
Fractional coordinates of all 16 atoms:
1 Mn 0.0000 0.0000 0.1159
2 Mn 0.0000 0.0000 0.8841
3 Mn 0.0000 0.5000 0.0000
4 Mn 0.0000 0.5000 0.2500
5 Mn 0.0000 0.5000 0.5000
6 Mn 0.0000 0.5000 0.7500
7 Mn 0.5000 0.0000 0.0000
8 Mn 0.5000 0.0000 0.2500
9 Mn 0.5000 0.0000 0.5000
10 Mn 0.5000 0.0000 0.7500
11 Mn 0.5000 0.5000 0.3841
12 Mn 0.5000 0.5000 0.6159
13 Te 0.0000 0.0000 0.3717
14 Te 0.0000 0.0000 0.6283
15 Te 0.5000 0.5000 0.1283
16 Te 0.5000 0.5000 0.8717

Starting from DFT lattice parameters and positions (PBE), the PXRD pattern of Mn4Te was simulated for Cu Kα (weighted mean of Kα1 and Kα2).

Peak list (12 most intense, 15° ≤ 2θ ≤ 90°, low angle first)
18.3°, rel. 76
26.0°, rel. 65
31.9°, rel. 17
37.1°, rel. 100
41.6°, rel. 36
45.8°, rel. 28
53.4°, rel. 66
56.9°, rel. 18
60.3°, rel. 12
66.8°, rel. 21
73.0°, rel. 14
81.9°, rel. 10

a b c (Å): 4.8521 4.8521 4.8521
angles (deg): 90.00 90.00 90.00
Fractional coordinates of all 5 atoms:
1 Mn 0.0000 0.0000 0.0000
2 Mn 0.0000 0.5000 0.5000
3 Mn 0.5000 0.0000 0.5000
4 Mn 0.5000 0.5000 0.0000
5 Te 0.5000 0.5000 0.5000

Starting from DFT lattice parameters and positions (PBE), the PXRD pattern of Th4MnTe3 was simulated for Cu Kα (weighted mean of Kα1 and Kα2).

Peak list (12 most intense, 15° ≤ 2θ ≤ 90°, low angle first)
24.5°, rel. 14
28.2°, rel. 100
28.8°, rel. 41
30.5°, rel. 11
35.7°, rel. 9
39.5°, rel. 26
40.2°, rel. 20
40.5°, rel. 17
42.0°, rel. 32
50.2°, rel. 17
58.4°, rel. 17
68.2°, rel. 8

a b c (Å): 7.9590 8.9698 7.3485
angles (deg): 90.00 108.64 90.00
Fractional coordinates of all 16 atoms:
1 Th 0.1956 0.1062 0.0202
2 Th 0.1956 0.8938 0.5202
3 Th 0.2195 0.3401 0.4664
4 Th 0.2195 0.6599 0.9664
5 Th 0.7805 0.3401 0.0336
6 Th 0.7805 0.6599 0.5336
7 Th 0.8044 0.1062 0.4798
8 Th 0.8044 0.8938 0.9798
9 Mn 0.0000 0.1182 0.2500
10 Mn 0.0000 0.8818 0.7500
11 Te 0.0000 0.3785 0.7500
12 Te 0.0000 0.6215 0.2500
13 Te 0.5000 0.1241 0.7500
14 Te 0.5000 0.3849 0.2500
15 Te 0.5000 0.6151 0.7500
16 Te 0.5000 0.8759 0.2500

Starting from DFT lattice parameters and positions (PBE), the PXRD pattern of ThMnTlTe4 was simulated for Cu Kα (weighted mean of Kα1 and Kα2).

Peak list (12 most intense, 15° ≤ 2θ ≤ 90°, low angle first)
18.3°, rel. 61
25.3°, rel. 72
25.5°, rel. 89
29.0°, rel. 83
29.1°, rel. 57
30.3°, rel. 69
33.7°, rel. 100
35.9°, rel. 54
37.1°, rel. 42
38.0°, rel. 55
38.2°, rel. 40
39.3°, rel. 43

a b c (Å): 7.7615 6.4280 10.0112
angles (deg): 90.00 108.48 90.00
Fractional coordinates of all 14 atoms:
1 Th 0.2384 0.2500 0.4420
2 Th 0.7616 0.7500 0.5580
3 Mn 0.2397 0.7500 0.6800
4 Mn 0.7603 0.2500 0.3200
5 Tl 0.2318 0.2500 0.9458
6 Tl 0.7682 0.7500 0.0542
7 Te 0.0536 0.7500 0.8586
8 Te 0.0681 0.7500 0.4028
9 Te 0.4776 0.5080 0.2835
10 Te 0.4776 0.9920 0.2835
11 Te 0.5224 0.0080 0.7165
12 Te 0.5224 0.4920 0.7165
13 Te 0.9319 0.2500 0.5972
14 Te 0.9464 0.2500 0.1414

Starting from DFT lattice parameters and positions (PBE), the PXRD pattern of TiMnTe3 was simulated for Cu Kα (weighted mean of Kα1 and Kα2).

Peak list (12 most intense, 15° ≤ 2θ ≤ 90°, low angle first)
17.2°, rel. 10
26.5°, rel. 46
27.5°, rel. 21
28.2°, rel. 19
31.4°, rel. 100
31.7°, rel. 40
43.2°, rel. 16
44.7°, rel. 28
45.7°, rel. 25
46.7°, rel. 17
54.6°, rel. 12
65.5°, rel. 11

a b c (Å): 7.1334 7.1334 6.9526
angles (deg): 99.78 99.78 123.32
Fractional coordinates of all 10 atoms:
1 Ti 0.1566 0.8434 0.0000
2 Ti 0.8434 0.1566 0.0000
3 Mn 0.3450 0.6550 0.5000
4 Mn 0.6550 0.3450 0.5000
5 Te 0.0552 0.4259 0.7457
6 Te 0.2916 0.2916 0.2051
7 Te 0.4259 0.0552 0.7457
8 Te 0.5741 0.9448 0.2543
9 Te 0.7084 0.7084 0.7949
10 Te 0.9448 0.5741 0.2543

Starting from DFT lattice parameters and positions (PBE), the PXRD pattern of TiMn2Te5 was simulated for Cu Kα (weighted mean of Kα1 and Kα2).

Peak list (12 most intense, 15° ≤ 2θ ≤ 90°, low angle first)
26.5°, rel. 56
29.2°, rel. 100
29.5°, rel. 36
34.1°, rel. 67
34.4°, rel. 97
38.0°, rel. 32
40.0°, rel. 36
46.7°, rel. 22
52.0°, rel. 26
53.5°, rel. 30
53.9°, rel. 23
59.0°, rel. 22

a b c (Å): 9.1876 7.5681 6.4030
angles (deg): 81.78 54.61 43.61
Fractional coordinates of all 8 atoms:
1 Ti 0.0000 0.0000 0.0000
2 Mn 0.3015 0.3015 0.6985
3 Mn 0.6985 0.6985 0.3015
4 Te 0.0007 0.6964 0.3036
5 Te 0.3036 0.9993 0.0007
6 Te 0.5000 0.5000 0.5000
7 Te 0.6964 0.0007 0.9993
8 Te 0.9993 0.3036 0.6964